This entry pairs a crystal structure of DyCd5Hg5 with its calculated powder X-ray diffraction pattern. Radiation: Cu Kα, 1.54184 Å. Structure: a cell relaxed with GGA-PBE.

Most intense lines, 2θ = 10–90°, by angle:
2theta	I (rel.)	(hkl)
33.79	36.7	0 2 -2
35.54	100.0	1 0 -3
36.13	29.1	1 2 1
36.38	33.8	2 0 0
50.11	12.1	2 -2 2
50.88	11.4	2 2 -2
52.21	8.8	0 2 4
64.85	11.8	3 0 -3

Cell and atoms:
```
data_DyCd5Hg5
_chemical_formula_sum 'Dy1 Cd5 Hg5'
_cell_length_a 4.9395
_cell_length_b 6.3235
_cell_length_c 8.8421
_cell_angle_alpha 93.92
_cell_angle_beta 90.08
_cell_angle_gamma 91.07
_space_group_name_H-M_alt 'P -1'
_space_group_IT_number 2
loop_
_space_group_symop_operation_xyz
'x,y,z'
'-x,-y,-z'
loop_
_atom_site_label
_atom_site_type_symbol
_atom_site_fract_x
_atom_site_fract_y
_atom_site_fract_z
Dy1 Dy 0.0000 0.0000 0.0000
Cd1 Cd 0.0124 0.3414 0.3546
Cd2 Cd 0.4976 0.7134 0.1621
Cd3 Cd 0.5000 0.0000 0.5000
Hg1 Hg 0.0000 0.5000 0.0000
Hg2 Hg 0.0020 0.1815 0.6638
Hg3 Hg 0.4940 0.7813 0.8187
```